Diffraction record for AcHo2NpO8. The X-ray powder pattern is theoretical, not measured: it uses a cell relaxed with PBE and Cu Kα.

Most intense lines, 15 to 90 degrees two-theta, sorted by position:
26.6 deg, rel. 40, (1 0 -1)
28.7 deg, rel. 100, (1 0 1)
32.5 deg, rel. 34, (1 2 0)
32.9 deg, rel. 16, (0 0 2)
45.3 deg, rel. 13, (2 0 0)
45.6 deg, rel. 25, (1 2 -2)
48.3 deg, rel. 21, (1 2 2)
53.3 deg, rel. 12, (2 2 -1)
55.7 deg, rel. 21, (1 4 -1)
59.4 deg, rel. 11, (0 4 2)

Atomic structure:
Lattice parameters (Å, degrees): 4.018 7.579 5.460 90.00 94.55 90.00
Fractional coordinates of all 12 atoms:
Ac: 0.000 0.000 0.000
Ho: 0.500 0.246 0.500
Ho: 0.500 0.754 0.500
Np: 0.000 0.500 0.000
O: 0.033 0.290 0.756
O: 0.033 0.710 0.756
O: 0.448 0.500 0.224
O: 0.486 0.000 0.730
O: 0.514 0.000 0.270
O: 0.552 0.500 0.776
O: 0.967 0.290 0.244
O: 0.967 0.710 0.244



Diffraction record for AcHo3O. The X-ray powder pattern is theoretical, not measured: it uses a cell relaxed with PBE and Cu Kα.

Most intense lines, 15 to 90 degrees two-theta, sorted by position:
25.0 deg, rel. 3, (1 1 0)
30.7 deg, rel. 100, (1 1 1)
35.6 deg, rel. 56, (2 0 0)
44.0 deg, rel. 1, (2 1 1)
51.3 deg, rel. 40, (2 2 0)
61.0 deg, rel. 44, (3 1 1)
64.0 deg, rel. 14, (2 2 2)
75.5 deg, rel. 6, (4 0 0)
83.7 deg, rel. 19, (3 3 1)
86.4 deg, rel. 18, (4 2 0)

Atomic structure:
Lattice parameters (Å, degrees): 5.037 5.037 5.037 90.00 90.00 90.00
Fractional coordinates of all 5 atoms:
Ac: 0.000 0.000 0.000
Ho: 0.000 0.500 0.500
Ho: 0.500 0.000 0.500
Ho: 0.500 0.500 0.000
O: 0.500 0.500 0.500



Diffraction record for Ac3HoPd2O9. The X-ray powder pattern is theoretical, not measured: it uses a cell relaxed with PBE and Cu Kα.

Most intense lines, 15 to 90 degrees two-theta, sorted by position:
21.2 deg, rel. 16, (1 0 1)
29.9 deg, rel. 98, (0 1 2)
30.5 deg, rel. 100, (1 1 0)
37.4 deg, rel. 12, (0 2 1)
43.2 deg, rel. 52, (2 0 2)
52.8 deg, rel. 12, (1 0 4)
53.8 deg, rel. 40, (1 2 2)
54.1 deg, rel. 21, (3 0 0)
63.4 deg, rel. 17, (2 2 0)
71.7 deg, rel. 18, (3 1 2)

Atomic structure:
Lattice parameters (Å, degrees): 5.870 5.870 7.375 90.00 90.00 120.00
Fractional coordinates of all 15 atoms:
Ac: 0.000 0.000 0.000
Ac: 0.333 0.667 0.715
Ac: 0.667 0.333 0.285
Ho: 0.000 0.000 0.500
Pd: 0.333 0.667 0.166
Pd: 0.667 0.333 0.834
O: 0.000 0.500 0.000
O: 0.164 0.328 0.314
O: 0.164 0.836 0.314
O: 0.328 0.164 0.686
O: 0.500 0.000 0.000
O: 0.500 0.500 0.000
O: 0.672 0.836 0.314
O: 0.836 0.164 0.686
O: 0.836 0.672 0.686